1.
Starting from a DFT-relaxed cell (GGA-PBE, the Materials Project), the X-ray powder pattern of Cs2TeS3 was computed for copper Kα.
No peak broadening, texture or thermal motion is included.

```
data_Cs2TeS3
_cell_length_a 10.2848
_cell_length_b 13.0431
_cell_length_c 17.6448
_cell_angle_alpha 90.00
_cell_angle_beta 124.50
_cell_angle_gamma 90.00
_symmetry_space_group_name_H-M 'P 1 21/c 1'
_symmetry_Int_Tables_number 14
_symmetry_space_group_name_Hall '-P 2ybc'
loop_
_atom_site_label
_atom_site_type_symbol
_atom_site_fract_x
_atom_site_fract_y
_atom_site_fract_z
Cs1 Cs 0.1193 0.1491 0.0988
Cs2 Cs 0.1684 0.1339 0.8486
Cs3 Cs 0.1969 0.5876 0.1233
Cs4 Cs 0.3776 0.7276 0.4160
Te1 Te 0.2054 0.0358 0.3853
Te2 Te 0.4495 0.6097 0.6955
S1 S 0.0028 0.6180 0.2490
S2 S 0.0784 0.6111 0.8938
S3 S 0.1980 0.6402 0.6664
S4 S 0.2492 0.1420 0.5066
S5 S 0.4004 0.5100 0.5696
S6 S 0.4632 0.2316 0.3249
```

Most intense lines, 10 to 90 degrees two-theta, by angle:
d = 4.161 Å, rel. 100, (2 0 -4)
d = 4.033 Å, rel. 70, (2 1 0)
d = 3.901 Å, rel. 85, (2 2 -1)
d = 3.731 Å, rel. 62, (0 3 2)
d = 3.501 Å, rel. 60, (0 1 4)
d = 3.241 Å, rel. 51, (0 3 3)


2.
Starting from a DFT-relaxed cell (GGA-PBE, the Materials Project), the X-ray powder pattern of Cs2WS4 was computed for copper Kα.
No peak broadening, texture or thermal motion is included.

```
data_Cs2WS4
_cell_length_a 10.3957
_cell_length_b 7.3951
_cell_length_c 13.2064
_cell_angle_alpha 90.00
_cell_angle_beta 90.00
_cell_angle_gamma 90.00
_symmetry_space_group_name_H-M 'P n m a'
_symmetry_Int_Tables_number 62
_symmetry_space_group_name_Hall '-P 2ac 2n'
loop_
_atom_site_label
_atom_site_type_symbol
_atom_site_fract_x
_atom_site_fract_y
_atom_site_fract_z
Cs1 Cs 0.0340 0.2500 0.1706
Cs2 Cs 0.1532 0.7500 0.3989
W1 W 0.2458 0.7500 0.0756
S1 S 0.0358 0.7500 0.1026
S2 S 0.1678 0.0069 0.6445
S3 S 0.2129 0.2500 0.4114
```

Most intense lines, 10 to 90 degrees two-theta, by angle:
d = 5.482 Å, rel. 49, (1 1 1)
d = 4.451 Å, rel. 56, (1 1 2)
d = 4.048 Å, rel. 86, (2 1 1)
d = 3.783 Å, rel. 100, (0 1 3)
d = 3.698 Å, rel. 96, (0 2 0)
d = 3.053 Å, rel. 63, (3 1 1)


3.
Starting from a DFT-relaxed cell (GGA-PBE, the Materials Project), the X-ray powder pattern of Cs4Zr3S14 was computed for copper Kα.
No peak broadening, texture or thermal motion is included.

```
data_Cs4Zr3S14
_cell_length_a 22.4735
_cell_length_b 8.7108
_cell_length_c 14.3454
_cell_angle_alpha 90.00
_cell_angle_beta 112.85
_cell_angle_gamma 90.00
_symmetry_space_group_name_H-M 'C 1 2/c 1'
_symmetry_Int_Tables_number 15
_symmetry_space_group_name_Hall '-C 2yc'
loop_
_atom_site_label
_atom_site_type_symbol
_atom_site_fract_x
_atom_site_fract_y
_atom_site_fract_z
Cs1 Cs 0.0612 0.2381 0.1438
Cs2 Cs 0.2054 0.3183 0.6117
Zr1 Zr 0.0000 0.2629 0.7500
Zr2 Zr 0.1679 0.2518 0.9142
S1 S 0.0419 0.3397 0.6125
S2 S 0.0691 0.0860 0.9122
S3 S 0.0852 0.4767 0.8687
S4 S 0.0959 0.1674 0.7108
S5 S 0.1417 0.0402 0.3896
S6 S 0.1669 0.4855 0.3358
S7 S 0.2215 0.2838 0.0988
```

Most intense lines, 10 to 90 degrees two-theta, by angle:
d = 4.546 Å, rel. 42, (3 1 1)
d = 4.355 Å, rel. 61, (0 2 0)
d = 4.078 Å, rel. 100, (3 1 -3)
d = 3.707 Å, rel. 42, (6 0 -2)
d = 3.305 Å, rel. 65, (0 0 4)
d = 3.223 Å, rel. 60, (2 2 2)


4.
Starting from a DFT-relaxed cell (GGA-PBE, the Materials Project), the X-ray powder pattern of Cs3Sb was computed for copper Kα.
No peak broadening, texture or thermal motion is included.

```
data_Cs3Sb
_cell_length_a 9.3508
_cell_length_b 9.3508
_cell_length_c 9.3508
_cell_angle_alpha 90.00
_cell_angle_beta 90.00
_cell_angle_gamma 90.00
_symmetry_space_group_name_H-M 'F m -3 m'
_symmetry_Int_Tables_number 225
_symmetry_space_group_name_Hall '-F 4 2 3'
loop_
_atom_site_label
_atom_site_type_symbol
_atom_site_fract_x
_atom_site_fract_y
_atom_site_fract_z
Cs1 Cs 0.0000 0.0000 0.0000
Cs2 Cs 0.2500 0.2500 0.2500
Sb1 Sb 0.0000 0.0000 0.5000
```

Most intense lines, 10 to 90 degrees two-theta, by angle:
d = 3.306 Å, rel. 100, (2 2 0)
d = 2.338 Å, rel. 19, (4 0 0)
d = 1.909 Å, rel. 41, (4 2 2)
d = 1.653 Å, rel. 13, (4 4 0)
d = 1.478 Å, rel. 18, (6 2 0)
d = 1.250 Å, rel. 21, (6 4 2)


5.
Starting from a DFT-relaxed cell (GGA-PBE, the Materials Project), the X-ray powder pattern of Cs3SbSe3 was computed for copper Kα.
No peak broadening, texture or thermal motion is included.

```
data_Cs3SbSe3
_cell_length_a 10.8727
_cell_length_b 10.8727
_cell_length_c 10.8727
_cell_angle_alpha 90.00
_cell_angle_beta 90.00
_cell_angle_gamma 90.00
_symmetry_space_group_name_H-M 'P 21 3'
_symmetry_Int_Tables_number 198
_symmetry_space_group_name_Hall 'P 2ac 2ab 3'
loop_
_atom_site_label
_atom_site_type_symbol
_atom_site_fract_x
_atom_site_fract_y
_atom_site_fract_z
Cs1 Cs 0.0748 0.0748 0.0748
Cs2 Cs 0.1866 0.3134 0.6866
Cs3 Cs 0.1896 0.6896 0.8104
Sb1 Sb 0.0250 0.9750 0.4750
Se1 Se 0.0070 0.2028 0.4042
```

Most intense lines, 10 to 90 degrees two-theta, by angle:
d = 3.844 Å, rel. 33, (2 2 0)
d = 3.438 Å, rel. 100, (3 1 0)
d = 2.906 Å, rel. 58, (3 1 2)
d = 2.219 Å, rel. 17, (4 2 2)
d = 2.132 Å, rel. 32, (4 1 3)
d = 1.678 Å, rel. 16, (5 1 4)


6.
Starting from a DFT-relaxed cell (GGA-PBE, the Materials Project), the X-ray powder pattern of CsScUSe5 was computed for copper Kα.
No peak broadening, texture or thermal motion is included.

```
data_CsScUSe5
_cell_length_a 4.1590
_cell_length_b 21.6981
_cell_length_c 10.7137
_cell_angle_alpha 90.00
_cell_angle_beta 90.00
_cell_angle_gamma 90.00
_symmetry_space_group_name_H-M 'C m c m'
_symmetry_Int_Tables_number 63
_symmetry_space_group_name_Hall '-C 2c 2'
loop_
_atom_site_label
_atom_site_type_symbol
_atom_site_fract_x
_atom_site_fract_y
_atom_site_fract_z
Cs1 Cs 0.0000 0.1586 0.2500
Sc1 Sc 0.0000 0.0000 0.0000
U1 U 0.0000 0.3833 0.2500
Se1 Se 0.0000 0.0214 0.7500
Se2 Se 0.0000 0.1952 0.6386
Se3 Se 0.0000 0.4172 0.5136
```

Most intense lines, 10 to 90 degrees two-theta, by angle:
d = 7.623 Å, rel. 71, (0 2 1)
d = 5.357 Å, rel. 29, (0 0 2)
d = 3.417 Å, rel. 29, (1 3 1)
d = 3.002 Å, rel. 100, (1 5 0)
d = 2.891 Å, rel. 30, (1 5 1)
d = 2.689 Å, rel. 39, (1 1 3)


7.
Starting from a DFT-relaxed cell (GGA-PBE, the Materials Project), the X-ray powder pattern of Cs3Sm7Se12 was computed for copper Kα.
No peak broadening, texture or thermal motion is included.

```
data_Cs3Sm7Se12
_cell_length_a 4.2707
_cell_length_b 13.1774
_cell_length_c 26.8214
_cell_angle_alpha 90.00
_cell_angle_beta 90.00
_cell_angle_gamma 90.00
_symmetry_space_group_name_H-M 'P m n 21'
_symmetry_Int_Tables_number 31
_symmetry_space_group_name_Hall 'P 2ac -2'
loop_
_atom_site_label
_atom_site_type_symbol
_atom_site_fract_x
_atom_site_fract_y
_atom_site_fract_z
Cs1 Cs 0.0000 0.0362 0.0000
Cs2 Cs 0.0000 0.3107 0.3371
Cs3 Cs 0.0000 0.4573 0.7309
Sm1 Sm 0.0000 0.1562 0.6552
Sm2 Sm 0.0000 0.2500 0.8668
Sm3 Sm 0.0000 0.3440 0.0783
Sm4 Sm 0.0000 0.5322 0.4508
Sm5 Sm 0.0000 0.6728 0.0487
Sm6 Sm 0.0000 0.8295 0.6838
Sm7 Sm 0.0000 0.9686 0.2845
Se1 Se 0.0000 0.0053 0.1707
Se2 Se 0.0000 0.1795 0.7636
Se3 Se 0.0000 0.1800 0.5468
Se4 Se 0.0000 0.3189 0.9704
Se5 Se 0.0000 0.3202 0.1887
Se6 Se 0.0000 0.4946 0.5633
Se7 Se 0.0000 0.5972 0.3479
Se8 Se 0.0000 0.6189 0.9437
Se9 Se 0.0000 0.6980 0.1559
Se10 Se 0.0000 0.8014 0.5776
Se11 Se 0.0000 0.8801 0.7891
Se12 Se 0.0000 0.8979 0.3853
```

Most intense lines, 10 to 90 degrees two-theta, by angle:
d = 3.248 Å, rel. 24, (0 1 8)
d = 3.042 Å, rel. 100, (1 3 1)
d = 2.985 Å, rel. 23, (1 3 2)
d = 2.907 Å, rel. 22, (0 1 9)
d = 2.156 Å, rel. 23, (1 4 7)
d = 2.135 Å, rel. 43, (2 0 0)